For TmHf2WC4, a structure optimized by DFT (PBE) gives the simulated X-ray diffraction stick pattern in this record (Cu Kα X-rays).

Lattice parameters (Å, degrees): 3.300 11.539 11.671 90.00 90.00 90.00
Space group Cmcm (No. 63)
Asymmetric unit:
Tm  0.000  0.118  0.250 [4 per cell]
Hf  0.000  0.369  0.034 [8 per cell]
W  0.000  0.149  0.750 [4 per cell]
C  0.000  0.000  0.000 [4 per cell]
C  0.000  0.257  0.619 [8 per cell]
C  0.000  0.455  0.250 [4 per cell]

Largest 6 diffraction maxima, sorted by position, 2θ = 5–70°:
2theta, I_rel, hkl
30.64, 52, 0 0 4
31.00, 58, 0 4 0
32.11, 100, 1 1 2
39.14, 94, 1 3 2
44.15, 34, 0 4 4
65.26, 20, 1 7 2

=====

For TbPr5Sn5, a structure optimized by DFT (PBE) gives the simulated X-ray diffraction stick pattern in this record (Cu Kα X-rays).

Lattice parameters (Å, degrees): 14.645 6.376 8.698 90.00 107.56 90.00
Space group C2/m (No. 12)
Asymmetric unit:
Tb  0.000  0.000  0.000 [2 per cell]
Pr  0.000  0.000  0.500 [2 per cell]
Pr  0.167  0.500  0.832 [4 per cell]
Pr  0.171  0.500  0.332 [4 per cell]
Sn  0.000  0.500  0.000 [2 per cell]
Sn  0.162  0.000  0.835 [4 per cell]
Sn  0.163  0.000  0.330 [4 per cell]

Largest 6 diffraction maxima, sorted by position, 2θ = 5–70°:
2theta, I_rel, hkl
28.00, 100, 0 2 0
28.15, 49, 2 0 2
40.01, 39, 4 2 -2
40.12, 39, 2 2 2
48.43, 23, 6 2 0
65.52, 27, 2 4 2

=====

For Tm2Zn5Cu, a structure optimized by DFT (PBE) gives the simulated X-ray diffraction stick pattern in this record (Cu Kα X-rays).

Lattice parameters (Å, degrees): 4.192 15.779 8.826 90.00 90.00 90.00
Space group Cmcm (No. 63)
Asymmetric unit:
Tm  0.000  0.000  0.000 [4 per cell]
Tm  0.000  0.190  0.250 [4 per cell]
Zn  0.000  0.192  0.605 [8 per cell]
Zn  0.000  0.356  0.526 [8 per cell]
Zn  0.000  0.397  0.250 [4 per cell]
Cu  0.000  0.449  0.750 [4 per cell]

Largest 6 diffraction maxima, sorted by position, 2θ = 5–70°:
2theta, I_rel, hkl
29.94, 16, 1 1 2
34.07, 100, 1 3 2
35.61, 71, 1 5 0
37.79, 44, 1 1 3
43.16, 35, 2 0 0
46.31, 16, 0 6 3

=====

For Ac2InO, a structure optimized by DFT (PBE) gives the simulated X-ray diffraction stick pattern in this record (Cu Kα X-rays).

Lattice parameters (Å, degrees): 5.923 5.984 7.689 90.00 112.56 90.00
Space group P2/m (No. 10)
Asymmetric unit:
Ac  0.125  0.000  0.300 [2 per cell]
Ac  0.325  0.500  0.700 [2 per cell]
In  0.000  0.500  0.000 [1 per cell]
In  0.500  0.000  0.000 [1 per cell]
O  0.000  0.250  0.500 [2 per cell]

Largest 6 diffraction maxima, sorted by position, 2θ = 5–70°:
2theta, I_rel, hkl
28.37, 100, 1 1 1
29.86, 23, 0 2 0
30.18, 20, 2 0 -1
42.97, 18, 2 2 -1
52.10, 19, 1 3 1
52.49, 16, 3 1 0

=====

For BaTb4Pb3O12, a structure optimized by DFT (PBE) gives the simulated X-ray diffraction stick pattern in this record (Cu Kα X-rays).

Lattice parameters (Å, degrees): 8.626 8.626 8.626 90.00 90.00 90.00
Space group Im-3 (No. 204)
Asymmetric unit:
Ba  0.000  0.000  0.000 [2 per cell]
Tb  0.250  0.250  0.250 [8 per cell]
Pb  0.000  0.000  0.500 [6 per cell]
O  0.000  0.178  0.306 [24 per cell]

Largest 6 diffraction maxima, sorted by position, 2θ = 5–70°:
2theta, I_rel, hkl
14.52, 2, 1 1 0
29.29, 100, 2 2 0
41.89, 23, 4 0 0
51.93, 48, 4 2 2
60.74, 14, 4 4 0
68.84, 19, 6 0 2

=====

For Sr2PrIn3, a structure optimized by DFT (PBE) gives the simulated X-ray diffraction stick pattern in this record (Cu Kα X-rays).

Lattice parameters (Å, degrees): 5.651 17.011 8.069 90.00 90.00 90.00
Space group Cmmm (No. 65)
Asymmetric unit:
Sr  0.000  0.000  0.000 [2 per cell]
Sr  0.000  0.000  0.500 [2 per cell]
Sr  0.000  0.334  0.000 [4 per cell]
Pr  0.000  0.339  0.500 [4 per cell]
In  0.000  0.172  0.264 [8 per cell]
In  0.000  0.500  0.254 [4 per cell]

Largest 6 diffraction maxima, sorted by position, 2θ = 5–70°:
2theta, I_rel, hkl
31.50, 100, 1 3 2
31.67, 20, 2 0 0
45.31, 14, 2 6 0
55.98, 15, 2 0 4
56.15, 14, 1 9 2
56.29, 15, 3 3 2

=====

For Nb2Rh, a structure optimized by DFT (PBE) gives the simulated X-ray diffraction stick pattern in this record (Cu Kα X-rays).

Lattice parameters (Å, degrees): 2.834 4.628 7.742 90.00 92.44 90.00
Space group P2_1/m (No. 11)
Asymmetric unit:
Nb  0.014  0.250  0.284 [2 per cell]
Nb  0.315  0.250  0.924 [2 per cell]
Rh  0.447  0.750  0.398 [2 per cell]

Largest 6 diffraction maxima, sorted by position, 2θ = 5–70°:
2theta, I_rel, hkl
38.61, 49, 1 0 -2
38.92, 61, 0 2 0
39.49, 100, 1 1 1
40.03, 94, 0 1 3
43.45, 19, 1 1 -2
55.98, 28, 1 2 -2

=====

For Na4Ac3CuO8, a structure optimized by DFT (PBE) gives the simulated X-ray diffraction stick pattern in this record (Cu Kα X-rays).

Lattice parameters (Å, degrees): 13.240 7.013 6.776 90.00 119.62 90.00
Space group C2/m (No. 12)
Asymmetric unit:
Na  0.000  0.000  0.000 [2 per cell]
Na  0.000  0.500  0.000 [2 per cell]
Na  0.250  0.250  0.500 [4 per cell]
Ac  0.000  0.000  0.500 [2 per cell]
Ac  0.250  0.250  0.000 [4 per cell]
Cu  0.000  0.500  0.500 [2 per cell]
O  0.029  0.306  0.724 [8 per cell]
O  0.193  0.000  0.180 [4 per cell]
O  0.218  0.000  0.714 [4 per cell]

Largest 6 diffraction maxima, sorted by position, 2θ = 5–70°:
2theta, I_rel, hkl
15.31, 100, 2 0 -1
26.47, 25, 2 0 1
29.65, 35, 0 2 1
29.83, 50, 2 2 0
31.08, 34, 4 0 0
36.90, 45, 2 2 -2

=====

For Dy3TlO6, a structure optimized by DFT (PBE) gives the simulated X-ray diffraction stick pattern in this record (Cu Kα X-rays).

Lattice parameters (Å, degrees): 9.6908 9.6908 11.3167 90.00 90.00 120.00
Space group R-3 (No. 148, hexagonal axes)
Asymmetric unit:
Dy  0.0400  0.7748  0.2077 [18 per cell]
Tl  0.0000  0.0000  0.0000 [3 per cell]
Tl  0.0000  0.0000  0.5000 [3 per cell]
O  0.0255  0.8030  0.4025 [18 per cell]
O  0.0287  0.8400  0.8668 [18 per cell]

Largest 6 diffraction maxima, sorted by position, 2θ = 5–70°:
2theta, I_rel, hkl
26.44, 46, 2 0 2
29.24, 93, 3 -1 1
30.02, 38, 2 -1 3
32.36, 100, 1 2 2
42.83, 37, 3 -1 4
49.79, 42, 4 1 0

=====

For Zr3ZnC, a structure optimized by DFT (PBE) gives the simulated X-ray diffraction stick pattern in this record (Cu Kα X-rays).

Lattice parameters (Å, degrees): 3.392 11.634 9.095 90.00 90.00 90.00
Space group Cmcm (No. 63)
Asymmetric unit:
Zr  0.000  0.049  0.250 [4 per cell]
Zr  0.000  0.372  0.048 [8 per cell]
Zn  0.000  0.253  0.750 [4 per cell]
C  0.000  0.000  0.000 [4 per cell]

Largest 6 diffraction maxima, sorted by position, 2θ = 5–70°:
2theta, I_rel, hkl
33.33, 65, 0 2 3
33.86, 100, 1 1 2
35.15, 60, 1 3 0
36.56, 81, 1 3 1
36.68, 72, 0 4 2
40.66, 40, 1 1 3

=====

For Sm2MnC2, a structure optimized by DFT (PBE) gives the simulated X-ray diffraction stick pattern in this record (Cu Kα X-rays).

Lattice parameters (Å, degrees): 11.163 5.218 6.738 90.00 121.64 90.00
Space group C2/m (No. 12)
Asymmetric unit:
Sm  0.041  0.000  0.290 [4 per cell]
Sm  0.183  0.500  0.122 [4 per cell]
Mn  0.129  0.500  0.632 [4 per cell]
C  0.012  0.500  0.298 [4 per cell]
C  0.191  0.000  0.121 [4 per cell]

Largest 6 diffraction maxima, sorted by position, 2θ = 5–70°:
2theta, I_rel, hkl
29.49, 55, 3 1 -1
30.06, 34, 2 0 1
32.38, 100, 1 1 -2
33.08, 76, 3 1 0
34.11, 43, 4 0 -2
34.37, 66, 0 2 0

=====

For TbZn4Cu8, a structure optimized by DFT (PBE) gives the simulated X-ray diffraction stick pattern in this record (Cu Kα X-rays).

Lattice parameters (Å, degrees): 8.627 8.627 4.928 90.00 90.00 90.00
Space group I4/mmm (No. 139)
Asymmetric unit:
Tb  0.000  0.000  0.000 [2 per cell]
Zn  0.250  0.250  0.250 [8 per cell]
Cu  0.000  0.219  0.500 [8 per cell]
Cu  0.000  0.356  0.000 [8 per cell]

Largest 6 diffraction maxima, sorted by position, 2θ = 5–70°:
2theta, I_rel, hkl
29.40, 16, 2 1 1
36.16, 30, 3 0 1
41.94, 100, 4 0 0
42.24, 47, 2 0 2
47.14, 17, 4 2 0
47.43, 21, 2 2 2

=====

For Ba2Li5Ga4, a structure optimized by DFT (PBE) gives the simulated X-ray diffraction stick pattern in this record (Cu Kα X-rays).

Lattice parameters (Å, degrees): 13.726 6.070 8.649 90.00 127.63 90.00
Space group C2/m (No. 12)
Asymmetric unit:
Ba  0.236  0.000  0.171 [4 per cell]
Li  0.000  0.500  0.000 [2 per cell]
Li  0.059  0.241  0.353 [8 per cell]
Ga  0.109  0.000  0.670 [4 per cell]
Ga  0.224  0.500  0.377 [4 per cell]

Largest 6 diffraction maxima, sorted by position, 2θ = 5–70°:
2theta, I_rel, hkl
16.31, 100, 2 0 0
24.44, 58, 3 1 -1
26.45, 70, 1 1 -2
29.43, 59, 0 2 0
33.82, 40, 2 2 0
35.18, 68, 1 1 2